# 1
Structure and theoretical powder diffractogram of Dy2Sn2Pd5 (a cell relaxed with GGA-PBE; copper Kα).

Top 6 peaks for 2θ from 5° to 70°, in order of rising 2θ:
d (Å)	I (rel.)
3.096	37
3.046	100
2.586	45
2.366	41
2.208	73
2.149	62

```
18
Lattice="-7.7060 3.5446 3.4874 7.7060 -3.5446 3.4874 7.7060 3.5446 -3.4874" Properties=species:S:1:pos:R:3 pbc="T T T"
Dy 1.8166 0.5185 0.0000
Dy 5.8894 0.5185 0.0000
Dy 1.8166 3.0261 3.4874
Dy 5.8894 3.0261 3.4874
Sn 3.8530 -0.2916 2.4663
Sn 3.8530 3.8362 -1.0212
Sn 0.0000 3.5446 0.7876
Sn 0.0000 0.0000 4.2750
Pd 7.9511 2.2288 -1.4209
Pd 7.4608 -1.3158 2.0665
Pd -0.2452 1.3158 2.0665
Pd 7.9511 1.3158 2.0665
Pd 10.2131 2.3672 1.1064
Pd 5.1989 -1.1774 4.5938
Pd 3.8530 2.1634 1.3299
Pd 2.5071 4.7219 1.1064
Pd -2.5071 1.1774 4.5938
Pd 3.8530 1.3811 4.8173
```


# 2
Structure and theoretical powder diffractogram of La4PmPd2 (a cell relaxed with GGA-PBE; copper Kα).

Top 6 peaks for 2θ from 5° to 70°, in order of rising 2θ:
d (Å)	I (rel.)
3.117	72
2.980	79
2.967	100
2.929	64
2.823	93
2.549	64

```
14
Lattice="6.9610 0.0000 0.0000 -0.4171 8.0648 0.0000 -1.3102 -3.1919 7.6311" Properties=species:S:1:pos:R:3 pbc="T T T"
La -0.3042 1.9497 2.0952
La -0.0930 -1.0418 6.3180
La 1.7767 7.3757 0.9489
La 1.9718 2.0011 5.7223
La 3.2620 2.8718 1.9088
La 3.4571 -2.5028 6.6821
La 5.3267 5.9147 1.3131
La 5.5380 2.9232 5.5358
Pm 1.0044 5.1084 3.6129
Pm 4.2293 -0.2355 4.0182
Pd 1.0804 4.5608 0.5493
Pd 1.0938 -0.0766 3.6925
Pd 4.1400 4.9495 3.9386
Pd 4.1533 0.3121 7.0817
```


# 3
Structure and theoretical powder diffractogram of PuMgSc4 (a cell relaxed with GGA-PBE; copper Kα).

Top 6 peaks for 2θ from 5° to 70°, in order of rising 2θ:
d (Å)	I (rel.)
13.906	100
5.851	72
4.728	42
2.647	78
2.638	77
2.274	50

```
12
Lattice="6.4494 0.0000 0.0000 0.0000 3.2082 0.0000 0.0000 0.0000 13.9064" Properties=species:S:1:pos:R:3 pbc="T T T"
Pu 1.6123 0.0000 2.3503
Pu 4.8370 0.0000 11.5561
Mg 1.6123 0.0000 6.9483
Mg 4.8370 0.0000 6.9581
Sc 0.0000 1.6041 0.0000
Sc 0.0112 1.6041 4.6495
Sc 1.6123 0.0000 11.5463
Sc 3.2135 1.6041 4.6495
Sc 3.2247 1.6041 0.0000
Sc 3.2359 1.6041 9.2569
Sc 4.8370 0.0000 2.3600
Sc 6.4382 1.6041 9.2569
```